Record 1
# KErBeF6
Simulated powder XRD pattern, Cu Kα. Input: a structure optimized by DFT (GGA-PBE).
Peak positions follow from Bragg's law for the DFT cell and can differ from measured ones.

Principal peaks in the range 2θ from 10° to 80°, most intense first:
two_theta, d_spacing, I_rel, (hkl)
28.51, 3.130, 100, 1 1 1
20.48, 4.336, 96, 0 1 1
15.81, 5.604, 86, 1 0 -1
29.88, 2.990, 77, 1 1 -2
14.97, 5.917, 51, 1 0 0
21.43, 4.146, 45, 1 1 0
27.82, 3.207, 40, 2 0 -1
41.64, 2.169, 38, 0 2 2
41.96, 2.153, 29, 2 2 -1
30.77, 2.906, 29, 0 2 0

Crystal structure
```
data_KErBeF6
_chemical_formula_sum 'K2 Er2 Be2 F12'
_symmetry_space_group_name_H-M 'P 1 21/m 1'
_symmetry_Int_Tables_number 11
_cell_length_a 6.429
_cell_length_b 5.811
_cell_length_c 7.078
_cell_angle_alpha 90.00
_cell_angle_beta 113.03
_cell_angle_gamma 90.00
loop_
_symmetry_equiv_pos_as_xyz
'x,y,z'
'-x,-y,-z'
'-x,y+1/2,-z'
'x,-y+1/2,z'
loop_
_atom_site_label
_atom_site_fract_x
_atom_site_fract_y
_atom_site_fract_z
_atom_site_occupancy
K1 0.071 0.250 0.204 1
Er1 0.389 0.250 0.820 1
Be1 0.234 0.750 0.465 1
F1 0.011 0.750 0.263 1
F2 0.234 0.533 0.597 1
F3 0.322 0.501 0.034 1
F4 0.442 0.750 0.407 1
```



Record 2
# LiEr4Be4Si2O14
Simulated powder XRD pattern, Cu Kα. Input: a structure optimized by DFT (GGA-PBE).
Peak positions follow from Bragg's law for the DFT cell and can differ from measured ones.

Principal peaks in the range 2θ from 10° to 80°, most intense first:
two_theta, d_spacing, I_rel, (hkl)
18.23, 4.866, 100, 0 0 1
33.04, 2.711, 92, 1 3 1
27.00, 3.302, 52, 3 1 0
27.32, 3.264, 49, 1 3 0
30.51, 2.930, 48, 2 2 1
32.83, 2.728, 48, 3 1 1
32.72, 2.737, 46, 3 1 -1
46.48, 1.954, 41, 1 3 -2
25.00, 3.562, 26, 2 0 -1
56.81, 1.621, 25, 0 6 1

Crystal structure
```
data_LiEr4Be4Si2O14
_chemical_formula_sum 'Li2 Er8 Be8 Si4 O28'
_symmetry_space_group_name_H-M 'C 1 m 1'
_symmetry_Int_Tables_number 8
_cell_length_a 10.459
_cell_length_b 10.308
_cell_length_c 4.866
_cell_angle_alpha 90.00
_cell_angle_beta 90.22
_cell_angle_gamma 90.00
loop_
_symmetry_equiv_pos_as_xyz
'x,y,z'
'x,-y,z'
'x+1/2,y+1/2,z'
'x+1/2,-y+1/2,z'
loop_
_atom_site_label
_atom_site_fract_x
_atom_site_fract_y
_atom_site_fract_z
_atom_site_occupancy
Li1 0.000 0.000 0.000 1
Er1 0.004 0.000 0.503 1
Er2 0.158 0.342 0.481 1
Er3 0.319 0.000 0.506 1
Be1 0.021 0.500 0.953 1
Be2 0.172 0.141 0.031 1
Be3 0.286 0.500 0.962 1
Si1 0.412 0.249 0.998 1
O1 0.016 0.500 0.284 1
O2 0.038 0.210 0.186 1
O3 0.157 0.500 0.805 1
O4 0.167 0.000 0.169 1
O5 0.168 0.145 0.703 1
O6 0.289 0.500 0.291 1
O7 0.292 0.212 0.199 1
O8 0.373 0.376 0.810 1
O9 0.449 0.128 0.795 1
```



Record 3
# LiEr4Be4Si2O14
Simulated powder XRD pattern, Cu Kα. Input: a structure optimized by DFT (GGA-PBE).
Peak positions follow from Bragg's law for the DFT cell and can differ from measured ones.

Principal peaks in the range 2θ from 10° to 80°, most intense first:
two_theta, d_spacing, I_rel, (hkl)
18.28, 4.854, 100, 0 0 1
27.25, 3.273, 56, 1 3 0
32.66, 2.742, 54, 1 3 -1
33.35, 2.687, 49, 1 3 1
33.21, 2.697, 44, 3 1 1
26.25, 3.396, 33, 3 1 0
31.10, 2.876, 31, 3 1 -1
16.43, 5.395, 30, 2 0 0
23.76, 3.745, 30, 2 0 -1
39.94, 2.257, 29, 3 3 -1

Crystal structure
```
data_LiEr4Be4Si2O14
_chemical_formula_sum 'Li2 Er8 Be8 Si4 O28'
_symmetry_space_group_name_H-M 'C 1 m 1'
_symmetry_Int_Tables_number 8
_cell_length_a 10.817
_cell_length_b 10.305
_cell_length_c 4.867
_cell_angle_alpha 90.00
_cell_angle_beta 94.13
_cell_angle_gamma 90.00
loop_
_symmetry_equiv_pos_as_xyz
'x,y,z'
'x,-y,z'
'x+1/2,y+1/2,z'
'x+1/2,-y+1/2,z'
loop_
_atom_site_label
_atom_site_fract_x
_atom_site_fract_y
_atom_site_fract_z
_atom_site_occupancy
Li1 0.000 0.000 0.000 1
Er1 0.002 0.500 0.983 1
Er2 0.193 0.161 0.917 1
Er3 0.276 0.500 0.981 1
Be1 0.039 0.000 0.409 1
Be2 0.154 0.359 0.486 1
Be3 0.302 0.000 0.400 1
Si1 0.414 0.259 0.451 1
O1 0.042 0.278 0.640 1
O2 0.080 0.000 0.713 1
O3 0.143 0.500 0.620 1
O4 0.153 0.349 0.159 1
O5 0.165 0.000 0.234 1
O6 0.296 0.295 0.640 1
O7 0.325 0.000 0.728 1
O8 0.372 0.131 0.252 1
O9 0.443 0.381 0.252 1
```



Record 4
# LiEr4Be4Si2O14
Simulated powder XRD pattern, Cu Kα. Input: a structure optimized by DFT (GGA-PBE).
Peak positions follow from Bragg's law for the DFT cell and can differ from measured ones.

Principal peaks in the range 2θ from 10° to 80°, most intense first:
two_theta, d_spacing, I_rel, (hkl)
32.95, 2.719, 100, 2 1 1
18.62, 4.765, 55, 0 0 1
26.94, 3.310, 54, 2 1 0
46.99, 1.934, 41, 2 1 2
25.28, 3.523, 26, 1 1 1
43.06, 2.101, 23, 1 3 1
30.59, 2.923, 21, 2 0 1
65.12, 1.432, 20, 2 1 3
38.46, 2.341, 20, 1 3 0
55.00, 1.670, 20, 1 3 2

Crystal structure
```
data_LiEr4Be4Si2O14
_chemical_formula_sum 'Li1 Er4 Be4 Si2 O14'
_symmetry_space_group_name_H-M 'P -4'
_symmetry_Int_Tables_number 81
_cell_length_a 7.402
_cell_length_b 7.402
_cell_length_c 4.765
_cell_angle_alpha 90.00
_cell_angle_beta 90.00
_cell_angle_gamma 90.00
loop_
_symmetry_equiv_pos_as_xyz
'x,y,z'
'y,-x,-z'
'-x,-y,z'
'-y,x,-z'
loop_
_atom_site_label
_atom_site_fract_x
_atom_site_fract_y
_atom_site_fract_z
_atom_site_occupancy
Li1 0.000 0.000 0.000 1
Er1 0.166 0.643 0.988 1
Be1 0.135 0.364 0.462 1
Si1 0.000 0.000 0.500 1
Si2 0.500 0.500 0.500 1
O1 0.000 0.500 0.319 1
O2 0.081 0.158 0.290 1
O3 0.140 0.356 0.795 1
O4 0.337 0.421 0.299 1
```



Record 5
# Er2Be2SiO7
Simulated powder XRD pattern, Cu Kα. Input: a structure optimized by DFT (GGA-PBE).
Peak positions follow from Bragg's law for the DFT cell and can differ from measured ones.

Principal peaks in the range 2θ from 10° to 80°, most intense first:
two_theta, d_spacing, I_rel, (hkl)
33.34, 2.688, 100, 2 1 1
18.64, 4.759, 55, 0 0 1
27.39, 3.257, 53, 2 1 0
47.31, 1.921, 42, 2 1 2
55.51, 1.655, 33, 3 1 2
30.92, 2.892, 28, 2 0 1
25.49, 3.495, 25, 1 1 1
57.04, 1.615, 19, 3 3 1
43.67, 2.073, 18, 3 1 1
39.12, 2.303, 17, 3 1 0

Crystal structure
```
data_Er2Be2SiO7
_chemical_formula_sum 'Er4 Be4 Si2 O14'
_symmetry_space_group_name_H-M 'P -4 21 m'
_symmetry_Int_Tables_number 113
_cell_length_a 7.282
_cell_length_b 7.282
_cell_length_c 4.759
_cell_angle_alpha 90.00
_cell_angle_beta 90.00
_cell_angle_gamma 90.00
loop_
_symmetry_equiv_pos_as_xyz
'x,y,z'
'y,-x,-z'
'-x,-y,z'
'-y,x,-z'
'x+1/2,-y+1/2,-z'
'y+1/2,x+1/2,z'
'-x+1/2,y+1/2,-z'
'-y+1/2,-x+1/2,z'
loop_
_atom_site_label
_atom_site_fract_x
_atom_site_fract_y
_atom_site_fract_z
_atom_site_occupancy
Er1 0.159 0.341 0.009 1
Be1 0.136 0.636 0.545 1
Si1 0.000 0.000 0.500 1
O1 0.000 0.500 0.690 1
O2 0.080 0.837 0.704 1
O3 0.141 0.641 0.212 1
```



Record 6
# Sm2EuBeO5
Simulated powder XRD pattern, Cu Kα. Input: a structure optimized by DFT (GGA-PBE).
Peak positions follow from Bragg's law for the DFT cell and can differ from measured ones.

Principal peaks in the range 2θ from 10° to 80°, most intense first:
two_theta, d_spacing, I_rel, (hkl)
31.24, 2.863, 100, 0 1 3
38.25, 2.353, 40, 2 2 -1
28.76, 3.104, 38, 0 2 1
29.72, 3.007, 33, 2 1 -1
29.82, 2.996, 31, 2 1 1
31.37, 2.851, 25, 1 2 -1
30.98, 2.887, 25, 2 0 -2
50.61, 1.804, 17, 4 0 0
40.23, 2.242, 16, 0 1 4
27.17, 3.282, 16, 0 2 0

Crystal structure
```
data_Sm2EuBeO5
_chemical_formula_sum 'Sm8 Eu4 Be4 O20'
_symmetry_space_group_name_H-M 'P 1 21/c 1'
_symmetry_Int_Tables_number 14
_cell_length_a 7.215
_cell_length_b 6.565
_cell_length_c 9.540
_cell_angle_alpha 90.00
_cell_angle_beta 90.39
_cell_angle_gamma 90.00
loop_
_symmetry_equiv_pos_as_xyz
'x,y,z'
'-x,-y,-z'
'-x,y+1/2,-z+1/2'
'x,-y+1/2,z+1/2'
loop_
_atom_site_label
_atom_site_fract_x
_atom_site_fract_y
_atom_site_fract_z
_atom_site_occupancy
Sm1 0.022 0.081 0.176 1
Sm2 0.250 0.595 0.022 1
Eu1 0.479 0.080 0.173 1
Be1 0.246 0.193 0.900 1
O1 0.057 0.183 0.431 1
O2 0.227 0.666 0.779 1
O3 0.232 0.521 0.491 1
O4 0.233 0.134 0.726 1
O5 0.440 0.193 0.433 1
```



Record 7
# SrEu2BeO5
Simulated powder XRD pattern, Cu Kα. Input: a structure optimized by DFT (GGA-PBE).
Peak positions follow from Bragg's law for the DFT cell and can differ from measured ones.

Principal peaks in the range 2θ from 10° to 80°, most intense first:
two_theta, d_spacing, I_rel, (hkl)
30.90, 2.894, 100, 3 1 0
29.55, 3.023, 56, 1 1 2
37.90, 2.374, 29, 1 2 2
31.04, 2.882, 26, 1 2 1
28.43, 3.140, 25, 1 2 0
39.83, 2.263, 21, 4 1 0
41.35, 2.184, 16, 2 2 2
51.98, 1.759, 16, 2 3 2
60.23, 1.537, 15, 3 1 4
50.30, 1.814, 15, 0 0 4

Crystal structure
```
data_SrEu2BeO5
_chemical_formula_sum 'Sr4 Eu8 Be4 O20'
_symmetry_space_group_name_H-M 'P n a 21'
_symmetry_Int_Tables_number 33
_cell_length_a 9.635
_cell_length_b 6.642
_cell_length_c 7.256
_cell_angle_alpha 90.00
_cell_angle_beta 90.00
_cell_angle_gamma 90.00
loop_
_symmetry_equiv_pos_as_xyz
'x,y,z'
'-x,-y,z+1/2'
'-x+1/2,y+1/2,z+1/2'
'x+1/2,-y+1/2,z'
loop_
_atom_site_label
_atom_site_fract_x
_atom_site_fract_y
_atom_site_fract_z
_atom_site_occupancy
Sr1 0.174 0.085 0.000 1
Eu1 0.022 0.588 0.767 1
Eu2 0.174 0.080 0.541 1
Be1 0.101 0.808 0.269 1
O1 0.009 0.019 0.269 1
O2 0.067 0.691 0.460 1
O3 0.069 0.686 0.078 1
O4 0.217 0.337 0.269 1
O5 0.228 0.370 0.770 1
```



Record 8
# BeF2
Simulated powder XRD pattern, Cu Kα. Input: a structure optimized by DFT (GGA-PBE).
Peak positions follow from Bragg's law for the DFT cell and can differ from measured ones.

Principal peaks in the range 2θ from 10° to 80°, most intense first:
two_theta, d_spacing, I_rel, (hkl)
26.68, 3.341, 100, 1 0 1
40.32, 2.237, 26, 1 1 1
50.23, 1.816, 25, 1 1 2
45.82, 1.980, 17, 2 0 1
20.86, 4.258, 14, 1 0 0
39.57, 2.277, 10, 1 0 2
57.24, 1.609, 9, 2 1 0
54.96, 1.671, 9, 2 0 2
50.81, 1.797, 6, 0 0 3
68.31, 1.373, 6, 2 0 3

Crystal structure
```
data_BeF2
_chemical_formula_sum 'Be3 F6'
_symmetry_space_group_name_H-M 'P 62 2 2'
_symmetry_Int_Tables_number 180
_symmetry_space_group_name_Hall 'P 62 2 (0 0 4)'
_cell_length_a 4.9169
_cell_length_b 4.9169
_cell_length_c 5.3906
_cell_angle_alpha 90.00
_cell_angle_beta 90.00
_cell_angle_gamma 120.00
loop_
_atom_site_label
_atom_site_fract_x
_atom_site_fract_y
_atom_site_fract_z
_atom_site_occupancy
Be1 0.0000 0.5000 0.1667 1
F1 0.2099 0.4198 0.0000 1
```



Record 9
# BeF2
Simulated powder XRD pattern, Cu Kα. Input: a structure optimized by DFT (GGA-PBE).
Peak positions follow from Bragg's law for the DFT cell and can differ from measured ones.

Principal peaks in the range 2θ from 10° to 80°, most intense first:
two_theta, d_spacing, I_rel, (hkl)
14.63, 6.053, 100, 1 1 0
44.92, 2.018, 35, 3 3 0
25.49, 3.495, 33, 2 1 1
39.38, 2.288, 10, 3 2 1
54.67, 1.679, 9, 4 3 1
36.35, 2.471, 8, 2 2 2
20.75, 4.280, 7, 2 0 0
65.41, 1.427, 5, 6 0 0
29.51, 3.027, 5, 2 2 0
59.11, 1.563, 4, 5 2 1

Crystal structure
```
data_BeF2
_chemical_formula_sum 'Be12 F24'
_symmetry_space_group_name_H-M 'I -4 3 m'
_symmetry_Int_Tables_number 217
_symmetry_space_group_name_Hall 'I -4 2 3'
_cell_length_a 8.561
_cell_length_b 8.561
_cell_length_c 8.561
_cell_angle_alpha 90.00
_cell_angle_beta 90.00
_cell_angle_gamma 90.00
loop_
_atom_site_label
_atom_site_fract_x
_atom_site_fract_y
_atom_site_fract_z
_atom_site_occupancy
Be1 0.000 0.250 0.500 1
F1 0.033 0.354 0.354 1
```



Record 10
# BeF2
Simulated powder XRD pattern, Cu Kα. Input: a structure optimized by DFT (GGA-PBE).
Peak positions follow from Bragg's law for the DFT cell and can differ from measured ones.

Principal peaks in the range 2θ from 10° to 80°, most intense first:
two_theta, d_spacing, I_rel, (hkl)
27.31, 3.265, 100, 1 0 1
41.29, 2.187, 34, 1 1 1
40.56, 2.224, 32, 1 0 2
46.93, 1.936, 23, 0 2 1
37.41, 2.404, 19, 1 1 0
21.34, 4.164, 18, 1 0 0
51.49, 1.775, 14, 1 1 2
70.14, 1.342, 11, 0 2 3
56.35, 1.633, 10, 2 0 2
61.50, 1.508, 9, 2 1 1

Crystal structure
```
data_BeF2
_chemical_formula_sum 'Be3 F6'
_symmetry_space_group_name_H-M 'P 31 2 1'
_symmetry_Int_Tables_number 152
_cell_length_a 4.8080
_cell_length_b 4.8080
_cell_length_c 5.2625
_cell_angle_alpha 90.00
_cell_angle_beta 90.00
_cell_angle_gamma 120.00
loop_
_symmetry_equiv_pos_as_xyz
'x,y,z'
'-y,x-y,z+1/3'
'-x+y,-x,z+2/3'
'y,x,-z'
'x-y,-y,-z+2/3'
'-x,-x+y,-z+1/3'
loop_
_atom_site_label
_atom_site_fract_x
_atom_site_fract_y
_atom_site_fract_z
_atom_site_occupancy
Be1 0.0000 0.4716 0.1667 1
F1 0.1522 0.7357 0.9558 1
```